Entry 1:
The following is a simulated powder diffractogram of Mn2CdI6. It was derived from a structure optimized by DFT (GGA-PBE), using a wavelength of 1.5418 Å.
Kinematic intensities with the Lorentz-polarization factor, no thermal factor.

Top 12 peaks for 2θ from 5° to 70°, in order of rising 2θ:
- 7.43°, 11.894 Å, I = 86.8
- 22.57°, 3.940 Å, I = 46.3
- 24.10°, 3.693 Å, I = 64.2
- 24.97°, 3.566 Å, I = 63.4
- 26.33°, 3.385 Å, I = 79.1
- 27.22°, 3.276 Å, I = 52.7
- 27.79°, 3.210 Å, I = 100.0
- 30.08°, 2.971 Å, I = 57.1
- 40.67°, 2.218 Å, I = 45.0
- 41.42°, 2.180 Å, I = 42.6
- 42.22°, 2.141 Å, I = 81.4
- 42.82°, 2.112 Å, I = 76.7

Structure:
abc: 7.544 7.544 12.013
angles: 97.71 97.71 34.21
Atoms (fractional coordinates):
Mn (0.209, 0.209, 0.239)
Mn (0.791, 0.791, 0.761)
Cd (0.500, 0.500, 0.500)
I (0.132, 0.132, 0.434)
I (0.350, 0.350, 0.883)
I (0.397, 0.397, 0.271)
I (0.603, 0.603, 0.729)
I (0.650, 0.650, 0.117)
I (0.868, 0.868, 0.566)

Entry 2:
The following is a simulated powder diffractogram of Mn2CdI6. It was derived from a structure optimized by DFT (GGA-PBE), using a wavelength of 1.5418 Å.
Kinematic intensities with the Lorentz-polarization factor, no thermal factor.

Top 12 peaks for 2θ from 5° to 70°, in order of rising 2θ:
- 7.60°, 11.631 Å, I = 44.3
- 17.59°, 5.042 Å, I = 22.2
- 23.74°, 3.748 Å, I = 38.3
- 24.57°, 3.624 Å, I = 100.0
- 25.19°, 3.535 Å, I = 40.9
- 28.34°, 3.149 Å, I = 95.2
- 28.49°, 3.133 Å, I = 43.1
- 39.69°, 2.271 Å, I = 45.4
- 40.39°, 2.233 Å, I = 28.0
- 40.62°, 2.221 Å, I = 30.2
- 41.54°, 2.174 Å, I = 50.8
- 48.63°, 1.872 Å, I = 21.7

Structure:
abc: 4.442 7.565 12.098
angles: 75.45 79.54 72.93
Atoms (fractional coordinates):
Mn (0.176, 0.389, 0.264)
Mn (0.824, 0.611, 0.736)
Cd (0.000, 0.000, 0.000)
I (0.000, 0.233, 0.766)
I (0.000, 0.767, 0.234)
I (0.320, 0.743, 0.611)
I (0.340, 0.256, 0.065)
I (0.660, 0.744, 0.935)
I (0.680, 0.257, 0.389)

Entry 3:
The following is a simulated powder diffractogram of CdI3NO. It was derived from a structure optimized by DFT (GGA-PBE), using a wavelength of 1.5418 Å.
Kinematic intensities with the Lorentz-polarization factor, no thermal factor.

Top 12 peaks for 2θ from 5° to 70°, in order of rising 2θ:
- 10.10°, 8.757 Å, I = 100.0
- 10.51°, 8.414 Å, I = 28.9
- 11.67°, 7.584 Å, I = 57.5
- 21.73°, 4.091 Å, I = 42.9
- 22.90°, 3.884 Å, I = 70.6
- 26.40°, 3.376 Å, I = 37.5
- 28.49°, 3.133 Å, I = 53.9
- 31.88°, 2.807 Å, I = 19.9
- 34.05°, 2.633 Å, I = 17.2
- 35.51°, 2.528 Å, I = 19.0
- 39.49°, 2.282 Å, I = 29.2
- 41.23°, 2.189 Å, I = 26.6

Structure:
abc: 7.317 8.414 17.515
angles: 90.00 90.00 90.00
Atoms (fractional coordinates):
Cd (0.000, 0.201, 0.000)
Cd (0.000, 0.799, 0.500)
Cd (0.500, 0.202, 0.000)
Cd (0.500, 0.798, 0.500)
I (0.000, 0.060, 0.856)
I (0.000, 0.468, 0.497)
I (0.000, 0.532, 0.997)
I (0.000, 0.940, 0.356)
I (0.250, 0.058, 0.104)
I (0.250, 0.942, 0.604)
I (0.500, 0.064, 0.855)
I (0.500, 0.467, 0.500)
I (0.500, 0.533, 0.000)
I (0.500, 0.936, 0.355)
I (0.750, 0.058, 0.104)
I (0.750, 0.942, 0.604)
N (0.253, 0.280, 0.357)
N (0.253, 0.720, 0.857)
N (0.747, 0.280, 0.357)
N (0.747, 0.720, 0.857)
O (0.084, 0.458, 0.723)
O (0.084, 0.542, 0.223)
O (0.916, 0.458, 0.723)
O (0.916, 0.542, 0.223)